Theoretical powder diffractogram
Compound: Ba3RuO7
Radiation: Cu Kα, 1.54184 Å
Structure: a crystal structure in Alexandria, relaxed with PBE
Peak positions follow from Bragg's law for the DFT cell and can differ from measured ones.

Atomic structure:
```
Ba3RuO7
1.0
7.8996 0.0000 0.0000
0.0000 7.8996 0.0000
0.0000 0.0000 5.7468
Ba Ru O
6 2 14
direct
0.0000 0.0000 0.0000
0.1814 0.3186 0.5000
0.3186 0.8186 0.5000
0.5000 0.5000 0.0000
0.6814 0.1814 0.5000
0.8186 0.6814 0.5000
0.0000 0.5000 0.0000
0.5000 0.0000 0.0000
0.0000 0.0000 0.5000
0.1182 0.6182 0.2350
0.1182 0.6182 0.7650
0.1694 0.3306 0.0000
0.3306 0.8306 0.0000
0.3818 0.1182 0.2350
0.3818 0.1182 0.7650
0.5000 0.5000 0.5000
0.6182 0.8818 0.2350
0.6182 0.8818 0.7650
0.6694 0.1694 0.0000
0.8306 0.6694 0.0000
0.8818 0.3818 0.2350
0.8818 0.3818 0.7650
```

Principal peaks in the range 10 to 90 degrees two-theta, sorted by position:
| two_theta | I (rel.) | hkl |
| --- | --- | --- |
| 25.21 | 229 | 2 1 0 |
| 27.40 | 1000 | 2 0 1 |
| 29.68 | 303 | 2 1 1 |
| 31.13 | 304 | 0 0 2 |
| 32.05 | 338 | 2 2 0 |
| 35.95 | 137 | 3 1 0 |
| 40.47 | 310 | 2 1 2 |
| 45.28 | 250 | 2 2 2 |
| 50.19 | 122 | 4 1 1 |
| 53.14 | 160 | 2 0 3 |